CaMnSe2: theoretical powder XRD pattern (a wavelength of 1.5418 Å), based on a structure optimized by DFT (GGA-PBE).
Neutral-atom scattering factors, no anomalous dispersion.

The 8 most intense peaks (2θ = 10–80°), by intensity:
d = 2.849 Å, 31.40 deg, I 100; d = 2.022 Å, 44.82 deg, I 37; d = 2.007 Å, 45.19 deg, I 32; d = 1.649 Å, 55.74 deg, I 18; d = 1.278 Å, 74.20 deg, I 15; d = 1.270 Å, 74.75 deg, I 12; d = 1.424 Å, 65.54 deg, I 10; d = 3.298 Å, 27.04 deg, I 8

Atomic structure:
```
data_CaMnSe2
_chemical_formula_sum 'Ca3 Mn3 Se6'
_cell_length_a 4.0445
_cell_length_b 4.0445
_cell_length_c 19.5849
_cell_angle_alpha 90.00
_cell_angle_beta 90.00
_cell_angle_gamma 120.00
_symmetry_space_group_name_H-M 'R -3 m'
_symmetry_Int_Tables_number 166
_symmetry_space_group_name_Hall '-R 3 2"'
loop_
_atom_site_label
_atom_site_type_symbol
_atom_site_fract_x
_atom_site_fract_y
_atom_site_fract_z
Ca1 Ca 0.0000 0.0000 0.0000
Mn1 Mn 0.0000 0.0000 0.5000
Se1 Se 0.0000 0.0000 0.2419
```